This entry pairs a crystal structure of K2Nb4Fe2O13 with its simulated X-ray powder pattern. Radiation: Cu Ka. Structure: a DFT-relaxed cell (GGA+U, the Materials Project).
Lines closer than 0.1° are merged.

Top 10 peaks for 5 to 70 degrees two-theta, by intensity:
2θ 13.1, d 6.767, I = 100
2θ 28.0, d 3.189, I = 96
2θ 11.0, d 8.066, I = 81
2θ 28.4, d 3.139, I = 80
2θ 23.1, d 3.847, I = 57
2θ 28.6, d 3.124, I = 56
2θ 31.6, d 2.833, I = 55
2θ 45.8, d 1.981, I = 52
2θ 30.5, d 2.928, I = 46
2θ 40.6, d 2.224, I = 38

Structural model:
```
data_K2Nb4Fe2O13
_chemical_formula_sum 'K4 Nb8 Fe4 O26'
_cell_length_a 16.3933
_cell_length_b 3.9615
_cell_length_c 9.6359
_cell_angle_alpha 90.00
_cell_angle_beta 100.26
_cell_angle_gamma 90.00
_space_group_name_H-M_alt 'C 1 2/m 1'
_space_group_IT_number 12
loop_
_space_group_symop_operation_xyz
'x,y,z'
'-x,-y,-z'
'-x,y,-z'
'x,-y,z'
'x+1/2,y+1/2,z'
'-x+1/2,-y+1/2,-z'
'-x+1/2,y+1/2,-z'
'x+1/2,-y+1/2,z'
loop_
_atom_site_label
_atom_site_fract_x
_atom_site_fract_y
_atom_site_fract_z
K1 0.0512 0.0000 0.2507
Nb1 0.1191 0.5000 0.5847
Nb2 0.1639 0.5000 0.9361
Fe1 0.2369 0.5000 0.2750
O1 0.0000 0.5000 0.5000
O2 0.0679 0.5000 0.8031
O3 0.1245 0.0000 0.6135
O4 0.1307 0.5000 0.1098
O5 0.1637 0.5000 0.4225
O6 0.1999 0.0000 0.9383
O7 0.2229 0.5000 0.7431
```